Entry 1:
Starting from a structure optimized by DFT (PBE), the PXRD pattern of LiSnP2O7 was simulated for Cu Kα X-rays.

Cell and atoms:
a b c (Å): 8.929 5.185 14.440
angles (deg): 90.00 116.06 90.00
Fractional coordinates of all 44 atoms:
Li 0.000 0.004 0.000
Li 0.000 0.996 0.500
Li 0.418 0.468 0.378
Li 0.418 0.532 0.878
Sn 0.151 0.003 0.268
Sn 0.151 0.997 0.768
Sn 0.697 0.489 0.817
Sn 0.697 0.511 0.317
P 0.119 0.489 0.423
P 0.119 0.511 0.923
P 0.234 0.488 0.646
P 0.234 0.512 0.146
P 0.612 0.022 0.947
P 0.612 0.978 0.447
P 0.732 0.010 0.177
P 0.732 0.990 0.677
O 0.087 0.200 0.407
O 0.087 0.800 0.907
O 0.109 0.310 0.147
O 0.109 0.690 0.647
O 0.165 0.211 0.637
O 0.165 0.789 0.137
O 0.206 0.396 0.862
O 0.206 0.604 0.362
O 0.255 0.460 0.042
O 0.255 0.540 0.542
O 0.408 0.483 0.236
O 0.408 0.517 0.736
O 0.446 0.099 0.375
O 0.446 0.901 0.875
O 0.606 0.003 0.557
O 0.606 0.997 0.057
O 0.620 0.318 0.930
O 0.620 0.682 0.430
O 0.645 0.145 0.731
O 0.645 0.855 0.231
O 0.748 0.299 0.207
O 0.748 0.701 0.707
O 0.762 0.120 0.446
O 0.762 0.880 0.946
O 0.895 0.110 0.690
O 0.895 0.890 0.190
O 0.959 0.357 0.908
O 0.959 0.643 0.408

Main lines, low angle first (2θ = 10–90°):
h k l	2theta	I/Imax
0 0 2	13.65	60
1 1 -2	21.70	100
2 0 0	22.17	60
1 1 2	27.25	17
1 1 -4	30.18	40
0 2 0	34.60	18
3 1 -2	34.77	21
2 0 -6	37.60	13
2 2 0	41.47	12
1 3 -2	54.88	13


Entry 2:
Starting from a structure optimized by DFT (PBE), the PXRD pattern of LiSnP2O7 was simulated for Cu Kα X-rays.

Cell and atoms:
a b c (Å): 5.224 7.163 8.673
angles (deg): 67.53 87.99 87.80
Fractional coordinates of all 22 atoms:
Li 0.000 0.000 0.000
Li 0.464 0.330 0.430
Sn 0.463 0.950 0.274
Sn 0.955 0.409 0.720
P 0.443 0.721 0.693
P 0.494 0.052 0.820
P 0.938 0.280 0.179
P 0.974 0.607 0.301
O 0.149 0.160 0.300
O 0.156 0.690 0.684
O 0.258 0.606 0.339
O 0.343 0.198 0.673
O 0.373 0.029 0.991
O 0.475 0.823 0.827
O 0.562 0.867 0.529
O 0.593 0.519 0.768
O 0.665 0.218 0.252
O 0.782 0.096 0.806
O 0.813 0.475 0.453
O 0.860 0.824 0.214
O 0.952 0.514 0.158
O 0.973 0.278 0.005

Main lines, low angle first (2θ = 10–90°):
h k l	2theta	I/Imax
0 1 1	13.73	100
1 1 0	21.40	86
1 -1 0	21.98	95
0 0 2	22.19	99
1 2 1	29.72	40
-1 2 1	30.86	29
0 1 3	30.96	22
2 0 0	34.37	32
-2 1 1	37.73	28
0 3 1	37.96	24


Entry 3:
Starting from a structure optimized by DFT (PBE), the PXRD pattern of LiSnPO4 was simulated for Cu Kα X-rays.

Cell and atoms:
a b c (Å): 5.574 7.107 10.071
angles (deg): 73.41 79.44 77.98
Fractional coordinates of all 28 atoms:
Li 0.117 0.005 0.244
Li 0.318 0.183 0.604
Li 0.682 0.817 0.396
Li 0.883 0.995 0.756
Sn 0.255 0.291 0.912
Sn 0.302 0.438 0.286
Sn 0.698 0.562 0.714
Sn 0.745 0.709 0.088
P 0.204 0.695 0.551
P 0.288 0.856 0.920
P 0.712 0.144 0.080
P 0.796 0.305 0.449
O 0.044 0.224 0.362
O 0.098 0.715 0.941
O 0.187 0.778 0.395
O 0.227 0.045 0.798
O 0.240 0.465 0.598
O 0.283 0.927 0.053
O 0.426 0.773 0.586
O 0.444 0.255 0.117
O 0.556 0.745 0.883
O 0.574 0.227 0.414
O 0.717 0.073 0.947
O 0.760 0.535 0.402
O 0.773 0.955 0.202
O 0.813 0.222 0.605
O 0.902 0.285 0.059
O 0.956 0.776 0.638

Main lines, low angle first (2θ = 10–90°):
h k l	2theta	I/Imax
0 1 0	13.18	68
0 1 2	19.82	84
1 0 2	23.15	62
1 1 -1	23.76	77
0 2 2	28.27	83
1 0 3	30.61	59
2 0 0	33.14	100
1 -2 0	33.66	42
1 0 -3	34.50	55
1 2 5	47.45	44


Please write out number 3 again, unchanged.
Starting from a structure optimized by DFT (PBE), the PXRD pattern of LiSnPO4 was simulated for Cu Kα X-rays.

Cell and atoms:
a b c (Å): 5.574 7.107 10.071
angles (deg): 73.41 79.44 77.98
Fractional coordinates of all 28 atoms:
Li 0.117 0.005 0.244
Li 0.318 0.183 0.604
Li 0.682 0.817 0.396
Li 0.883 0.995 0.756
Sn 0.255 0.291 0.912
Sn 0.302 0.438 0.286
Sn 0.698 0.562 0.714
Sn 0.745 0.709 0.088
P 0.204 0.695 0.551
P 0.288 0.856 0.920
P 0.712 0.144 0.080
P 0.796 0.305 0.449
O 0.044 0.224 0.362
O 0.098 0.715 0.941
O 0.187 0.778 0.395
O 0.227 0.045 0.798
O 0.240 0.465 0.598
O 0.283 0.927 0.053
O 0.426 0.773 0.586
O 0.444 0.255 0.117
O 0.556 0.745 0.883
O 0.574 0.227 0.414
O 0.717 0.073 0.947
O 0.760 0.535 0.402
O 0.773 0.955 0.202
O 0.813 0.222 0.605
O 0.902 0.285 0.059
O 0.956 0.776 0.638

Main lines, low angle first (2θ = 10–90°):
h k l	2theta	I/Imax
0 1 0	13.18	68
0 1 2	19.82	84
1 0 2	23.15	62
1 1 -1	23.76	77
0 2 2	28.27	83
1 0 3	30.61	59
2 0 0	33.14	100
1 -2 0	33.66	42
1 0 -3	34.50	55
1 2 5	47.45	44